This entry pairs a crystal structure of Sc3Cd with its computed XRD peak list. Radiation: Cu Kα, 1.54184 Å. Structure: a cell relaxed with PBE.
No peak broadening, texture or thermal motion is included.

Crystal structure
Lattice parameters (Å, degrees): 6.458 8.893 6.436 90.00 90.00 90.00
Atoms (fractional coordinates):
Sc  0.000  0.250  0.048
Sc  0.000  0.750  0.952
Sc  0.250  0.025  0.750
Sc  0.250  0.475  0.750
Sc  0.250  0.525  0.250
Sc  0.250  0.975  0.250
Sc  0.500  0.250  0.452
Sc  0.500  0.750  0.548
Sc  0.750  0.025  0.750
Sc  0.750  0.475  0.750
Sc  0.750  0.525  0.250
Sc  0.750  0.975  0.250
Cd  0.000  0.250  0.499
Cd  0.000  0.750  0.501
Cd  0.500  0.250  0.001
Cd  0.500  0.750  0.999

Principal peaks in the range 2θ from 10° to 80°, by intensity:
d_spacing	2theta	I/Imax	h k l
2.610	34.36	100	2 2 0
2.279	39.54	33	2 0 2
4.559	19.47	18	1 0 1
1.592	57.95	17	2 4 2
3.183	28.03	15	1 2 1
2.223	40.58	14	0 4 0
1.373	68.34	11	4 2 2
1.370	68.49	10	2 2 4
4.446	19.97	9	0 2 0
1.347	69.85	8	2 6 0